This entry pairs a crystal structure of Pr2Si5Pd3 with its calculated XRD peak list. Radiation: Cu Kα, 1.54184 Å. Structure: a cell relaxed with GGA-PBE.

Crystal structure
a = 11.704 Å, b = 11.852 Å, c = 6.034 Å
α = 90.00°, β = 120.96°, γ = 90.00°
Space group C2/c (No. 15)
One atom of each set of equivalent atoms:
Pr: 0.235 0.128 0.235 [8 per cell]
Si: 0.000 0.000 0.250 [4 per cell]
Si: 0.000 0.274 0.250 [4 per cell]
Si: 0.000 0.274 0.750 [4 per cell]
Si: 0.149 0.385 0.149 [8 per cell]
Pd: 0.000 0.500 0.250 [4 per cell]
Pd: 0.109 0.137 0.609 [8 per cell]

The 10 most intense peaks (15° ≤ 2θ ≤ 90°), sorted by position:
Position (°2θ), I/Imax, h k l
24.2, 28, 1 3 0
29.6, 21, 2 0 -2
30.2, 20, 0 4 0
31.9, 19, 3 1 -2
34.2, 100, 2 2 1
34.7, 41, 0 0 2
35.2, 39, 2 4 0
42.8, 61, 2 4 -2
56.2, 22, 2 6 1
72.8, 19, 6 6 -3